1.
The following is a computed powder XRD pattern of Nd2HgPb. It was derived from a PBE-relaxed structure, using CuKα.

Crystal structure
a = 7.7666 Å, b = 7.7666 Å, c = 7.7666 Å
α = 90.00°, β = 90.00°, γ = 90.00°
Sites, in units of the cell vectors:
Nd: 0.2500 0.2500 0.2500
Nd: 0.2500 0.2500 0.7500
Nd: 0.2500 0.7500 0.2500
Nd: 0.2500 0.7500 0.7500
Nd: 0.7500 0.2500 0.2500
Nd: 0.7500 0.2500 0.7500
Nd: 0.7500 0.7500 0.2500
Nd: 0.7500 0.7500 0.7500
Hg: 0.0000 0.0000 0.0000
Hg: 0.0000 0.5000 0.5000
Hg: 0.5000 0.0000 0.5000
Hg: 0.5000 0.5000 0.0000
Pb: 0.0000 0.0000 0.5000
Pb: 0.0000 0.5000 0.0000
Pb: 0.5000 0.0000 0.0000
Pb: 0.5000 0.5000 0.5000

Top 6 peaks for 10° ≤ 2θ ≤ 90°, sorted by position:
hkl 2 2 0, 2θ = 32.6°, I = 100; hkl 4 0 0, 2θ = 46.8°, I = 19; hkl 4 2 2, 2θ = 58.2°, I = 39; hkl 4 4 0, 2θ = 68.3°, I = 12; hkl 6 2 0, 2θ = 77.8°, I = 17; hkl 4 4 4, 2θ = 86.9°, I = 4

---

2.
The following is a computed powder XRD pattern of NdSmHg2. It was derived from a PBE-relaxed structure, using CuKα.

Crystal structure
a = 7.6438 Å, b = 7.6438 Å, c = 7.6438 Å
α = 90.00°, β = 90.00°, γ = 90.00°
Sites, in units of the cell vectors:
Nd: 0.0000 0.0000 0.0000
Nd: 0.0000 0.5000 0.5000
Nd: 0.5000 0.0000 0.5000
Nd: 0.5000 0.5000 0.0000
Sm: 0.0000 0.0000 0.5000
Sm: 0.0000 0.5000 0.0000
Sm: 0.5000 0.0000 0.0000
Sm: 0.5000 0.5000 0.5000
Hg: 0.2500 0.2500 0.2500
Hg: 0.2500 0.2500 0.7500
Hg: 0.2500 0.7500 0.2500
Hg: 0.2500 0.7500 0.7500
Hg: 0.7500 0.2500 0.2500
Hg: 0.7500 0.2500 0.7500
Hg: 0.7500 0.7500 0.2500
Hg: 0.7500 0.7500 0.7500

Top 6 peaks for 10° ≤ 2θ ≤ 90°, sorted by position:
hkl 2 2 0, 2θ = 33.1°, I = 100; hkl 4 0 0, 2θ = 47.6°, I = 18; hkl 4 2 2, 2θ = 59.2°, I = 39; hkl 4 4 0, 2θ = 69.6°, I = 12; hkl 6 2 0, 2θ = 79.3°, I = 17; hkl 4 4 4, 2θ = 88.7°, I = 4

---

3.
The following is a computed powder XRD pattern of Nd2SnHg. It was derived from a PBE-relaxed structure, using CuKα.

Crystal structure
a = 7.7137 Å, b = 7.7137 Å, c = 7.7137 Å
α = 90.00°, β = 90.00°, γ = 90.00°
Sites, in units of the cell vectors:
Nd: 0.2500 0.2500 0.2500
Nd: 0.2500 0.2500 0.7500
Nd: 0.2500 0.7500 0.2500
Nd: 0.2500 0.7500 0.7500
Nd: 0.7500 0.2500 0.2500
Nd: 0.7500 0.2500 0.7500
Nd: 0.7500 0.7500 0.2500
Nd: 0.7500 0.7500 0.7500
Sn: 0.0000 0.0000 0.0000
Sn: 0.0000 0.5000 0.5000
Sn: 0.5000 0.0000 0.5000
Sn: 0.5000 0.5000 0.0000
Hg: 0.0000 0.0000 0.5000
Hg: 0.0000 0.5000 0.0000
Hg: 0.5000 0.0000 0.0000
Hg: 0.5000 0.5000 0.5000

Top 6 peaks for 10° ≤ 2θ ≤ 90°, sorted by position:
hkl 2 2 0, 2θ = 32.8°, I = 100; hkl 4 0 0, 2θ = 47.1°, I = 18; hkl 4 2 2, 2θ = 58.6°, I = 39; hkl 4 4 0, 2θ = 68.9°, I = 12; hkl 6 2 0, 2θ = 78.4°, I = 17; hkl 4 4 4, 2θ = 87.6°, I = 4

---

4.
The following is a computed powder XRD pattern of Nd2TlHg. It was derived from a PBE-relaxed structure, using CuKα.

Crystal structure
a = 7.7682 Å, b = 7.7682 Å, c = 7.7682 Å
α = 90.00°, β = 90.00°, γ = 90.00°
Sites, in units of the cell vectors:
Nd: 0.2500 0.2500 0.2500
Nd: 0.2500 0.2500 0.7500
Nd: 0.2500 0.7500 0.2500
Nd: 0.2500 0.7500 0.7500
Nd: 0.7500 0.2500 0.2500
Nd: 0.7500 0.2500 0.7500
Nd: 0.7500 0.7500 0.2500
Nd: 0.7500 0.7500 0.7500
Tl: 0.0000 0.0000 0.0000
Tl: 0.0000 0.5000 0.5000
Tl: 0.5000 0.0000 0.5000
Tl: 0.5000 0.5000 0.0000
Hg: 0.0000 0.0000 0.5000
Hg: 0.0000 0.5000 0.0000
Hg: 0.5000 0.0000 0.0000
Hg: 0.5000 0.5000 0.5000

Top 6 peaks for 10° ≤ 2θ ≤ 90°, sorted by position:
hkl 2 2 0, 2θ = 32.6°, I = 100; hkl 4 0 0, 2θ = 46.8°, I = 19; hkl 4 2 2, 2θ = 58.2°, I = 39; hkl 4 4 0, 2θ = 68.3°, I = 12; hkl 6 2 0, 2θ = 77.8°, I = 17; hkl 4 4 4, 2θ = 86.9°, I = 4

---

5.
The following is a computed powder XRD pattern of Nd2ZnHg. It was derived from a PBE-relaxed structure, using CuKα.

Crystal structure
a = 7.5506 Å, b = 7.5506 Å, c = 7.5506 Å
α = 90.00°, β = 90.00°, γ = 90.00°
Sites, in units of the cell vectors:
Nd: 0.2500 0.2500 0.2500
Nd: 0.2500 0.2500 0.7500
Nd: 0.2500 0.7500 0.2500
Nd: 0.2500 0.7500 0.7500
Nd: 0.7500 0.2500 0.2500
Nd: 0.7500 0.2500 0.7500
Nd: 0.7500 0.7500 0.2500
Nd: 0.7500 0.7500 0.7500
Zn: 0.0000 0.0000 0.0000
Zn: 0.0000 0.5000 0.5000
Zn: 0.5000 0.0000 0.5000
Zn: 0.5000 0.5000 0.0000
Hg: 0.0000 0.0000 0.5000
Hg: 0.0000 0.5000 0.0000
Hg: 0.5000 0.0000 0.0000
Hg: 0.5000 0.5000 0.5000

Top 6 peaks for 10° ≤ 2θ ≤ 90°, sorted by position:
hkl 1 1 1, 2θ = 20.4°, I = 12; hkl 2 2 0, 2θ = 33.6°, I = 100; hkl 4 0 0, 2θ = 48.2°, I = 18; hkl 4 2 2, 2θ = 60.0°, I = 38; hkl 4 4 0, 2θ = 70.6°, I = 12; hkl 6 2 0, 2θ = 80.4°, I = 16

---

6.
The following is a computed powder XRD pattern of NpHgO3. It was derived from a PBE-relaxed structure, using CuKα.

Crystal structure
a = 4.2670 Å, b = 4.2670 Å, c = 4.2670 Å
α = 90.00°, β = 90.00°, γ = 90.00°
Sites, in units of the cell vectors:
Np: 0.0000 0.0000 0.0000
Hg: 0.5000 0.5000 0.5000
O: 0.0000 0.0000 0.5000
O: 0.0000 0.5000 0.0000
O: 0.5000 0.0000 0.0000

Top 6 peaks for 10° ≤ 2θ ≤ 90°, sorted by position:
hkl 1 1 0, 2θ = 29.6°, I = 100; hkl 2 0 0, 2θ = 42.4°, I = 26; hkl 2 1 1, 2θ = 52.5°, I = 43; hkl 2 2 0, 2θ = 61.5°, I = 17; hkl 3 1 0, 2θ = 69.7°, I = 19; hkl 3 2 1, 2θ = 85.1°, I = 23

---

7.
The following is a computed powder XRD pattern of HgO2. It was derived from a PBE-relaxed structure, using CuKα.

Crystal structure
a = 5.9796 Å, b = 4.3182 Å, c = 4.6802 Å
α = 90.00°, β = 126.30°, γ = 90.00°
Sites, in units of the cell vectors:
Hg: 0.0000 0.0000 0.0000
Hg: 0.5000 0.5000 0.0000
O: 0.0552 0.5000 0.6892
O: 0.4448 0.0000 0.3108
O: 0.5552 0.0000 0.6892
O: 0.9448 0.5000 0.3108

Top 6 peaks for 10° ≤ 2θ ≤ 90°, sorted by position:
hkl 0 0 1, 2θ = 23.6°, I = 55; hkl 1 1 0, 2θ = 27.7°, I = 59; hkl 1 1 -1, 2θ = 28.5°, I = 100; hkl 2 0 -1, 2θ = 29.9°, I = 25; hkl 1 1 1, 2θ = 43.6°, I = 26; hkl 1 1 -2, 2θ = 45.1°, I = 27

---

8.
The following is a computed powder XRD pattern of HgO2. It was derived from a PBE-relaxed structure, using CuKα.

Crystal structure
a = 5.2565 Å, b = 4.8307 Å, c = 4.3848 Å
α = 90.00°, β = 119.60°, γ = 90.00°
Sites, in units of the cell vectors:
Hg: 0.0000 0.0000 0.0000
Hg: 0.5000 0.5000 0.0000
O: 0.0368 0.5000 0.6858
O: 0.4632 0.0000 0.3142
O: 0.5368 0.0000 0.6858
O: 0.9632 0.5000 0.3142

Top 6 peaks for 10° ≤ 2θ ≤ 90°, sorted by position:
hkl 0 0 1, 2θ = 23.3°, I = 58; hkl 1 1 0, 2θ = 26.9°, I = 65; hkl 1 1 -1, 2θ = 28.6°, I = 100; hkl 0 2 0, 2θ = 37.2°, I = 28; hkl 1 1 1, 2θ = 42.0°, I = 31; hkl 2 0 -2, 2θ = 44.4°, I = 34